Starting from DFT lattice parameters and positions (GGA-PBE), the X-ray powder pattern of KC4O2F2 was calculated for Cu Kα (weighted mean of Kα1 and Kα2).
Lines closer than 0.1° are merged.

Top 10 peaks for 10° ≤ 2θ ≤ 80°, in order of falling intensity:
d_spacing  I (rel.)
3.326  100.0
2.972  63.9
2.102  57.6
2.712  52.6
3.556  50.5
3.180  34.9
6.648  28.6
2.187  26.7
4.007  23.6
3.616  22.3

Structural model:
Cell: 7.1673 10.8495 7.1785 Å, 90.00 111.95 90.00°
Space group P2/c (No. 13)
Symmetry-distinct sites (fractional):
K: 0.2359 0.1140 0.0304 [4 per cell]
C: 0.3027 0.1761 0.5700 [4 per cell]
C: 0.3135 0.4080 0.5964 [4 per cell]
C: 0.4050 0.4797 0.1731 [4 per cell]
C: 0.4057 0.2956 0.6698 [4 per cell]
O: 0.1667 0.1335 0.6248 [4 per cell]
O: 0.3644 0.1290 0.4423 [4 per cell]
F: 0.1321 0.4108 0.4419 [4 per cell]
F: 0.3131 0.3717 0.0969 [4 per cell]

***

Starting from DFT lattice parameters and positions (GGA-PBE), the X-ray powder pattern of ErPt3 was calculated for Cu Kα (weighted mean of Kα1 and Kα2).
Lines closer than 0.1° are merged.

Top 4 peaks for 10° ≤ 2θ ≤ 80°, in order of falling intensity:
d_spacing  I (rel.)
2.369  100.0
2.051  49.4
1.237  39.1
1.451  32.9

Structural model:
Cell: 4.1029 4.1029 4.1029 Å, 90.00 90.00 90.00°
Space group Pm-3m (No. 221)
Symmetry-distinct sites (fractional):
Er: 0.0000 0.0000 0.0000 [1 per cell]
Pt: 0.0000 0.5000 0.5000 [3 per cell]

***

Starting from DFT lattice parameters and positions (GGA-PBE), the X-ray powder pattern of Li5TlIn was calculated for Cu Kα (weighted mean of Kα1 and Kα2).
Lines closer than 0.1° are merged.

Top 10 peaks for 10° ≤ 2θ ≤ 80°, in order of falling intensity:
d_spacing  I (rel.)
3.992  100.0
3.785  44.7
2.384  39.1
2.349  37.7
1.939  28.0
2.895  24.8
3.432  22.7
2.176  20.3
2.025  16.1
6.865  14.8

Structural model:
Cell: 4.6990 4.6990 20.5942 Å, 90.00 90.00 120.00°
Space group R3m (No. 160, hexagonal axes)
Symmetry-distinct sites (fractional):
Li: 0.0000 0.0000 0.0000 [3 per cell]
Li: 0.0000 0.0000 0.1381 [3 per cell]
Li: 0.0000 0.0000 0.2933 [3 per cell]
Li: 0.0000 0.0000 0.4416 [3 per cell]
Li: 0.0000 0.0000 0.5817 [3 per cell]
Tl: 0.0000 0.0000 0.8635 [3 per cell]
In: 0.0000 0.0000 0.7194 [3 per cell]

***

Q: What is the formula in the third record?
A: Li5TlIn